(1)
Diffraction record for CdTcAg. The powder XRD pattern is computed, not measured: it uses a crystal structure in Alexandria, relaxed with PBE and copper Kα.
Kinematic intensities with the Lorentz-polarization factor, no thermal factor.

Structural model:
Lattice parameters (Å, degrees): 2.8874 2.8874 43.8146 90.00 90.00 120.00
Space group R3m (No. 160, hexagonal axes)
Symmetry-distinct sites (fractional):
Cd (0.0000, 0.0000, 0.0000) [3 per cell]
Cd (0.0000, 0.0000, 0.3963) [3 per cell]
Tc (0.0000, 0.0000, 0.1194) [3 per cell]
Tc (0.0000, 0.0000, 0.4979) [3 per cell]
Ag (0.0000, 0.0000, 0.2195) [3 per cell]
Ag (0.0000, 0.0000, 0.6084) [3 per cell]

Main lines, in order of rising 2θ (2θ from 10° to 90°):
(1 0 1), 35.97 deg, I = 19
(0 1 2), 36.16 deg, I = 25
(0 0 18), 36.92 deg, I = 55
(0 1 5), 37.40 deg, I = 29
(0 1 8), 39.62 deg, I = 85
(1 0 10), 41.58 deg, I = 100
(0 1 11), 42.69 deg, I = 24
(1 1 0), 64.55 deg, I = 38
(1 0 28), 71.05 deg, I = 18
(0 1 29), 73.16 deg, I = 12
(1 1 18), 76.76 deg, I = 34
(0 2 10), 79.77 deg, I = 14

(2)
Diffraction record for LaTb2Rh. The powder XRD pattern is computed, not measured: it uses a crystal structure in Alexandria, relaxed with PBE and copper Kα.
Kinematic intensities with the Lorentz-polarization factor, no thermal factor.

Structural model:
Lattice parameters (Å, degrees): 7.252 9.676 6.503 90.00 90.00 90.00
Space group Pnma (No. 62)
Symmetry-distinct sites (fractional):
La (0.041, 0.250, 0.138) [4 per cell]
Tb (0.174, 0.066, 0.668) [8 per cell]
Rh (0.122, 0.750, 0.433) [4 per cell]

Main lines, in order of rising 2θ (2θ from 10° to 90°):
(2 1 1), 29.68 deg, I = 49
(1 0 2), 30.12 deg, I = 48
(2 2 0), 30.82 deg, I = 57
(0 3 1), 30.95 deg, I = 96
(1 1 2), 31.54 deg, I = 100
(1 3 1), 33.38 deg, I = 74
(2 2 1), 33.83 deg, I = 89
(1 2 2), 35.49 deg, I = 43
(2 3 0), 37.31 deg, I = 45
(3 0 1), 39.78 deg, I = 38
(4 0 1), 52.39 deg, I = 58
(0 6 0), 57.09 deg, I = 44

(3)
Diffraction record for Ho3B. The powder XRD pattern is computed, not measured: it uses a crystal structure in Alexandria, relaxed with PBE and copper Kα.
Kinematic intensities with the Lorentz-polarization factor, no thermal factor.

Structural model:
Lattice parameters (Å, degrees): 3.413 10.250 5.804 90.00 90.00 90.00
Space group Imm2 (No. 44)
Symmetry-distinct sites (fractional):
Ho (0.000, 0.000, 0.000) [2 per cell]
Ho (0.000, 0.177, 0.473) [4 per cell]
B (0.000, 0.500, 0.828) [2 per cell]

Main lines, in order of rising 2θ (2θ from 10° to 90°):
(1 1 0), 27.55 deg, I = 45
(0 3 1), 30.36 deg, I = 100
(0 0 2), 30.81 deg, I = 44
(1 2 1), 35.17 deg, I = 71
(1 1 2), 41.80 deg, I = 31
(1 4 1), 47.03 deg, I = 16
(2 0 0), 53.69 deg, I = 19
(0 3 3), 54.51 deg, I = 21
(1 2 3), 57.65 deg, I = 15
(1 5 2), 61.71 deg, I = 17
(2 3 1), 62.95 deg, I = 25
(2 0 2), 63.19 deg, I = 22

(4)
Diffraction record for Rb2HfI6N. The powder XRD pattern is computed, not measured: it uses a crystal structure in Alexandria, relaxed with PBE and copper Kα.
Kinematic intensities with the Lorentz-polarization factor, no thermal factor.

Structural model:
Lattice parameters (Å, degrees): 12.028 12.028 12.028 90.00 90.00 90.00
Space group Fm-3m (No. 225)
Symmetry-distinct sites (fractional):
Rb (0.250, 0.250, 0.250) [8 per cell]
Hf (0.000, 0.000, 0.000) [4 per cell]
I (0.000, 0.000, 0.237) [24 per cell]
N (0.000, 0.000, 0.500) [4 per cell]

Main lines, in order of rising 2θ (2θ from 10° to 90°):
(1 1 1), 12.75 deg, I = 38
(2 0 0), 14.73 deg, I = 32
(2 2 2), 25.66 deg, I = 85
(4 0 0), 29.71 deg, I = 100
(4 2 0), 33.31 deg, I = 16
(5 1 1), 38.91 deg, I = 14
(4 4 0), 42.52 deg, I = 73
(6 2 2), 50.32 deg, I = 36
(4 4 4), 52.73 deg, I = 25
(6 6 2), 67.94 deg, I = 14
(8 4 0), 69.96 deg, I = 31
(8 4 4), 77.80 deg, I = 22

(5)
Diffraction record for La4TbSm2Sc. The powder XRD pattern is computed, not measured: it uses a crystal structure in Alexandria, relaxed with PBE and copper Kα.
Kinematic intensities with the Lorentz-polarization factor, no thermal factor.

Structural model:
Lattice parameters (Å, degrees): 5.174 5.202 10.034 90.00 90.00 90.00
Space group Pmmm (No. 47)
Symmetry-distinct sites (fractional):
La (0.000, 0.000, 0.245) [2 per cell]
La (0.500, 0.500, 0.245) [2 per cell]
Tb (0.000, 0.500, 0.500) [1 per cell]
Sm (0.000, 0.500, 0.000) [1 per cell]
Sm (0.500, 0.000, 0.500) [1 per cell]
Sc (0.500, 0.000, 0.000) [1 per cell]

Main lines, in order of rising 2θ (2θ from 10° to 90°):
(1 1 2), 30.18 deg, I = 100
(0 2 0), 34.48 deg, I = 18
(2 0 0), 34.67 deg, I = 17
(0 0 4), 35.80 deg, I = 16
(2 2 0), 49.70 deg, I = 12
(0 2 4), 50.55 deg, I = 12
(2 0 4), 50.69 deg, I = 12
(1 3 2), 59.13 deg, I = 15
(3 1 2), 59.39 deg, I = 15
(1 1 6), 60.88 deg, I = 13
(2 2 4), 62.75 deg, I = 12
(3 3 2), 80.91 deg, I = 6

(6)
Diffraction record for AcPr2TmS6. The powder XRD pattern is computed, not measured: it uses a crystal structure in Alexandria, relaxed with PBE and copper Kα.
Kinematic intensities with the Lorentz-polarization factor, no thermal factor.

Structural model:
Lattice parameters (Å, degrees): 7.2325 7.2325 18.9956 90.00 90.00 120.00
Space group R3 (No. 146, hexagonal axes)
Symmetry-distinct sites (fractional):
Ac (0.0000, 0.0000, 0.0000) [3 per cell]
Pr (0.0000, 0.0000, 0.2828) [3 per cell]
Pr (0.0000, 0.0000, 0.7899) [3 per cell]
Tm (0.0000, 0.0000, 0.4893) [3 per cell]
S (0.0162, 0.7258, 0.3928) [9 per cell]
S (0.0367, 0.3496, 0.5570) [9 per cell]

Main lines, in order of rising 2θ (2θ from 10° to 90°):
(0 1 2), 16.96 deg, I = 36
(1 0 4), 23.51 deg, I = 100
(1 1 0), 24.62 deg, I = 97
(0 2 4), 34.30 deg, I = 50
(2 -1 6), 37.77 deg, I = 60
(3 -1 4), 42.68 deg, I = 51
(3 0 0), 43.34 deg, I = 45
(1 0 10), 50.19 deg, I = 18
(2 2 0), 50.47 deg, I = 15
(1 3 4), 56.40 deg, I = 17
(2 2 6), 58.81 deg, I = 16
(2 1 10), 62.71 deg, I = 16

(7)
Diffraction record for KNaPb2Br6. The powder XRD pattern is computed, not measured: it uses a crystal structure in Alexandria, relaxed with PBE and copper Kα.
Kinematic intensities with the Lorentz-polarization factor, no thermal factor.

Structural model:
Lattice parameters (Å, degrees): 7.8568 7.8568 20.8215 90.00 90.00 120.00
Space group R3 (No. 146, hexagonal axes)
Symmetry-distinct sites (fractional):
K (0.0000, 0.0000, 0.0000) [3 per cell]
Na (0.0000, 0.0000, 0.5101) [3 per cell]
Pb (0.0000, 0.0000, 0.2031) [3 per cell]
Pb (0.0000, 0.0000, 0.7088) [3 per cell]
Br (0.0241, 0.3526, 0.7797) [9 per cell]
Br (0.0631, 0.7025, 0.2765) [9 per cell]

Main lines, in order of rising 2θ (2θ from 10° to 90°):
(0 1 2), 15.56 deg, I = 100
(1 0 4), 21.49 deg, I = 39
(2 -1 3), 26.06 deg, I = 60
(0 2 4), 31.41 deg, I = 36
(1 1 6), 34.48 deg, I = 76
(3 -2 2), 35.97 deg, I = 21
(2 1 4), 39.07 deg, I = 28
(3 0 0), 39.74 deg, I = 46
(1 0 10), 45.53 deg, I = 25
(4 -1 2), 49.06 deg, I = 16
(4 -2 6), 53.61 deg, I = 19
(5 -4 6), 68.77 deg, I = 17

(8)
Diffraction record for Al5GaPd2. The powder XRD pattern is computed, not measured: it uses a crystal structure in Alexandria, relaxed with PBE and copper Kα.
Kinematic intensities with the Lorentz-polarization factor, no thermal factor.

Structural model:
Lattice parameters (Å, degrees): 3.570 8.067 9.374 90.00 90.00 90.00
Space group Immm (No. 71)
Symmetry-distinct sites (fractional):
Al (0.000, 0.000, 0.000) [2 per cell]
Al (0.000, 0.306, 0.353) [8 per cell]
Ga (0.000, 0.500, 0.000) [2 per cell]
Pd (0.000, 0.000, 0.273) [4 per cell]

Main lines, in order of rising 2θ (2θ from 10° to 90°):
(0 0 2), 18.93 deg, I = 33
(0 2 0), 22.04 deg, I = 66
(1 1 0), 27.32 deg, I = 25
(1 1 2), 33.45 deg, I = 100
(1 2 1), 34.90 deg, I = 21
(1 0 3), 38.28 deg, I = 49
(1 3 0), 42.07 deg, I = 31
(0 2 4), 44.72 deg, I = 46
(1 3 2), 46.51 deg, I = 51
(2 0 0), 51.18 deg, I = 22
(0 4 4), 60.52 deg, I = 23
(2 2 4), 70.28 deg, I = 23